Simulated XRD peak list of KMgPaO4 for CuKα, from the GGA-PBE geometry in Alexandria.

Atomic structure:
a = 6.8084 Å, b = 6.8084 Å, c = 6.8084 Å
α = 121.26°, β = 115.76°, γ = 92.67°
Fractional coordinates of all 14 atoms:
K (0.3966, 0.1466, 0.2500)
K (0.6034, 0.8534, 0.7500)
Mg (0.0000, 0.0000, 0.5000)
Mg (0.0000, 0.5000, 0.0000)
Pa (0.0000, 0.5000, 0.5000)
Pa (0.5000, 0.5000, 0.0000)
O (0.1647, 0.7211, 0.4436)
O (0.2225, 0.2789, 0.9436)
O (0.2427, 0.2929, 0.5502)
O (0.2427, 0.6925, 0.9498)
O (0.7573, 0.3075, 0.0502)
O (0.7573, 0.7071, 0.4498)
O (0.7775, 0.7211, 0.0564)
O (0.8353, 0.2789, 0.5564)

Largest 8 diffraction maxima, low angle first, 2θ = 10–90°:
2theta, Rel. int.
16.28, 1000
18.88, 270
26.70, 205
29.63, 614
31.53, 288
36.61, 204
49.00, 201
54.02, 203

***

Simulated XRD peak list of KRbMg14O15 for CuKα, from the GGA-PBE geometry in Alexandria.

Atomic structure:
a = 4.2008 Å, b = 8.5186 Å, c = 9.9020 Å
α = 90.00°, β = 90.00°, γ = 90.00°
Fractional coordinates of all 31 atoms:
K (0.0000, 0.0000, 0.0000)
Rb (0.0000, 0.5000, 0.5551)
Mg (0.0000, 0.0000, 0.4571)
Mg (0.0000, 0.2183, 0.7165)
Mg (0.0000, 0.2563, 0.2429)
Mg (0.0000, 0.5000, 0.9908)
Mg (0.0000, 0.7437, 0.2429)
Mg (0.0000, 0.7817, 0.7165)
Mg (0.5000, 0.0000, 0.2490)
Mg (0.5000, 0.0000, 0.6840)
Mg (0.5000, 0.2398, 0.9578)
Mg (0.5000, 0.2641, 0.4644)
Mg (0.5000, 0.5000, 0.2054)
Mg (0.5000, 0.5000, 0.7732)
Mg (0.5000, 0.7359, 0.4644)
Mg (0.5000, 0.7602, 0.9578)
O (0.0000, 0.0000, 0.2477)
O (0.0000, 0.0000, 0.6678)
O (0.0000, 0.2365, 0.4471)
O (0.0000, 0.2907, 0.9030)
O (0.0000, 0.5000, 0.1882)
O (0.0000, 0.7093, 0.9030)
O (0.0000, 0.7635, 0.4471)
O (0.5000, 0.0000, 0.4639)
O (0.5000, 0.0000, 0.8855)
O (0.5000, 0.2339, 0.1768)
O (0.5000, 0.2869, 0.6825)
O (0.5000, 0.5000, 0.4073)
O (0.5000, 0.5000, 0.9694)
O (0.5000, 0.7131, 0.6825)
O (0.5000, 0.7661, 0.1768)

Largest 8 diffraction maxima, low angle first, 2θ = 10–90°:
2theta, Rel. int.
35.05, 1000
36.18, 284
36.29, 415
39.37, 233
42.44, 819
43.07, 810
62.06, 408
73.74, 230

***

Simulated XRD peak list of KRbMg14O15 for CuKα, from the GGA-PBE geometry in Alexandria.

Atomic structure:
a = 4.4774 Å, b = 8.9416 Å, c = 8.6081 Å
α = 90.00°, β = 90.00°, γ = 90.00°
Fractional coordinates of all 31 atoms:
K (0.0000, 0.0000, 0.0000)
Rb (0.0000, 0.5000, 0.1312)
Mg (0.0000, 0.0000, 0.5146)
Mg (0.0000, 0.2158, 0.2599)
Mg (0.0000, 0.2621, 0.7789)
Mg (0.0000, 0.5000, 0.5392)
Mg (0.0000, 0.7379, 0.7789)
Mg (0.0000, 0.7842, 0.2599)
Mg (0.5000, 0.0000, 0.2664)
Mg (0.5000, 0.0000, 0.7584)
Mg (0.5000, 0.2490, 0.0161)
Mg (0.5000, 0.2551, 0.5157)
Mg (0.5000, 0.5000, 0.2742)
Mg (0.5000, 0.5000, 0.7896)
Mg (0.5000, 0.7449, 0.5157)
Mg (0.5000, 0.7510, 0.0161)
O (0.0000, 0.0000, 0.2899)
O (0.0000, 0.0000, 0.7325)
O (0.0000, 0.2590, 0.0193)
O (0.0000, 0.2709, 0.4961)
O (0.0000, 0.5000, 0.7620)
O (0.0000, 0.7291, 0.4961)
O (0.0000, 0.7410, 0.0193)
O (0.5000, 0.0000, 0.0322)
O (0.5000, 0.0000, 0.5090)
O (0.5000, 0.2525, 0.7641)
O (0.5000, 0.2611, 0.2664)
O (0.5000, 0.5000, 0.0244)
O (0.5000, 0.5000, 0.5051)
O (0.5000, 0.7389, 0.2664)
O (0.5000, 0.7475, 0.7641)

Largest 8 diffraction maxima, low angle first, 2θ = 10–90°:
2theta, Rel. int.
10.28, 125
30.49, 110
35.21, 208
40.32, 1000
41.99, 302
58.33, 302
59.62, 284
74.44, 126

***

Simulated XRD peak list of KRbMg14O15 for CuKα, from the GGA-PBE geometry in Alexandria.

Atomic structure:
a = 4.1803 Å, b = 8.5682 Å, c = 10.3515 Å
α = 90.00°, β = 90.00°, γ = 90.00°
Fractional coordinates of all 31 atoms:
K (0.0000, 0.0000, 0.0000)
Rb (0.0000, 0.5000, 0.5337)
Mg (0.0000, 0.0000, 0.5646)
Mg (0.0000, 0.2425, 0.2780)
Mg (0.0000, 0.2769, 0.8607)
Mg (0.0000, 0.5000, 0.0790)
Mg (0.0000, 0.7231, 0.8607)
Mg (0.0000, 0.7575, 0.2780)
Mg (0.5000, 0.0000, 0.3155)
Mg (0.5000, 0.0000, 0.7890)
Mg (0.5000, 0.2347, 0.0867)
Mg (0.5000, 0.2607, 0.6578)
Mg (0.5000, 0.5000, 0.2700)
Mg (0.5000, 0.5000, 0.8702)
Mg (0.5000, 0.7393, 0.6578)
Mg (0.5000, 0.7653, 0.0867)
O (0.0000, 0.0000, 0.3632)
O (0.0000, 0.2054, 0.6741)
O (0.0000, 0.2631, 0.0757)
O (0.0000, 0.5000, 0.2797)
O (0.0000, 0.5000, 0.8792)
O (0.0000, 0.7369, 0.0757)
O (0.0000, 0.7946, 0.6741)
O (0.5000, 0.0000, 0.1212)
O (0.5000, 0.0000, 0.6006)
O (0.5000, 0.2142, 0.8655)
O (0.5000, 0.2576, 0.2993)
O (0.5000, 0.5000, 0.0707)
O (0.5000, 0.5000, 0.6760)
O (0.5000, 0.7424, 0.2993)
O (0.5000, 0.7858, 0.8655)

Largest 8 diffraction maxima, low angle first, 2θ = 10–90°:
2theta, Rel. int.
27.02, 294
27.43, 317
34.64, 1000
35.32, 268
39.18, 204
42.18, 838
43.29, 831
62.04, 467

***

Simulated XRD peak list of KMg6SiO8 for CuKα, from the GGA-PBE geometry in Alexandria.

Atomic structure:
a = 4.5636 Å, b = 4.5636 Å, c = 8.3633 Å
α = 90.00°, β = 90.00°, γ = 90.00°
Fractional coordinates of all 16 atoms:
K (0.0000, 0.0000, 0.0000)
Mg (0.0000, 0.5000, 0.2470)
Mg (0.0000, 0.5000, 0.7530)
Mg (0.5000, 0.0000, 0.2470)
Mg (0.5000, 0.0000, 0.7530)
Mg (0.5000, 0.5000, 0.0000)
Mg (0.5000, 0.5000, 0.5000)
Si (0.0000, 0.0000, 0.5000)
O (0.0000, 0.0000, 0.2924)
O (0.0000, 0.0000, 0.7076)
O (0.0000, 0.5000, 0.0000)
O (0.0000, 0.5000, 0.5000)
O (0.5000, 0.0000, 0.0000)
O (0.5000, 0.0000, 0.5000)
O (0.5000, 0.5000, 0.2526)
O (0.5000, 0.5000, 0.7474)

Largest 8 diffraction maxima, low angle first, 2θ = 10–90°:
2theta, Rel. int.
35.13, 203
39.49, 1000
43.27, 338
57.08, 290
60.01, 445
68.82, 86
74.25, 215
85.02, 77

***

Simulated XRD peak list of KMg3Si4O12 for CuKα, from the GGA-PBE geometry in Alexandria.

Atomic structure:
a = 5.3266 Å, b = 5.3266 Å, c = 10.3591 Å
α = 94.32°, β = 94.32°, γ = 120.77°
Fractional coordinates of all 20 atoms:
K (0.0000, 0.0000, 0.0000)
Mg (0.1647, 0.8353, 0.5000)
Mg (0.5000, 0.5000, 0.5000)
Mg (0.8353, 0.1647, 0.5000)
Si (0.2586, 0.5925, 0.7700)
Si (0.4075, 0.7414, 0.2300)
Si (0.5925, 0.2586, 0.7700)
Si (0.7414, 0.4075, 0.2300)
O (0.0550, 0.5583, 0.1657)
O (0.1278, 0.1278, 0.4054)
O (0.2097, 0.5494, 0.6133)
O (0.4417, 0.9450, 0.8343)
O (0.4479, 0.4479, 0.8304)
O (0.4506, 0.7903, 0.3867)
O (0.5494, 0.2097, 0.6133)
O (0.5521, 0.5521, 0.1696)
O (0.5583, 0.0550, 0.1657)
O (0.7903, 0.4506, 0.3867)
O (0.8722, 0.8722, 0.5946)
O (0.9450, 0.4417, 0.8343)

Largest 8 diffraction maxima, low angle first, 2θ = 10–90°:
2theta, Rel. int.
24.43, 700
25.95, 929
26.11, 590
27.96, 879
30.62, 510
34.23, 741
36.91, 1000
54.42, 465

***

Simulated XRD peak list of KMg3Si4O12 for CuKα, from the GGA-PBE geometry in Alexandria.

Atomic structure:
a = 5.3067 Å, b = 5.3067 Å, c = 30.7153 Å
α = 90.00°, β = 90.00°, γ = 120.00°
Fractional coordinates of all 60 atoms:
K (0.1983, 0.0992, 0.0000)
K (0.9008, 0.0992, 0.3333)
K (0.9008, 0.8017, 0.6667)
Mg (0.2083, 0.4167, 0.1667)
Mg (0.2083, 0.7917, 0.8333)
Mg (0.2430, 0.1215, 0.5000)
Mg (0.5435, 0.0870, 0.1667)
Mg (0.5435, 0.4565, 0.8333)
Mg (0.5833, 0.7917, 0.5000)
Mg (0.8785, 0.1215, 0.8333)
Mg (0.8785, 0.7570, 0.1667)
Mg (0.9130, 0.4565, 0.5000)
Si (0.2206, 0.4685, 0.7433)
Si (0.2206, 0.7520, 0.2567)
Si (0.2480, 0.4685, 0.5901)
Si (0.2480, 0.7794, 0.4099)
Si (0.5315, 0.7520, 0.0766)
Si (0.5315, 0.7794, 0.9234)
Si (0.5557, 0.1335, 0.7433)
Si (0.5557, 0.4222, 0.2567)
Si (0.5778, 0.1335, 0.5901)
Si (0.5778, 0.4443, 0.4099)
Si (0.8665, 0.4222, 0.0766)
Si (0.8665, 0.4443, 0.9234)
O (0.1988, 0.5850, 0.0553)
O (0.1988, 0.6138, 0.9447)
O (0.2008, 0.0868, 0.1351)
O (0.2008, 0.1140, 0.8649)
O (0.2187, 0.4717, 0.7955)
O (0.2187, 0.7470, 0.2045)
O (0.2530, 0.4717, 0.5378)
O (0.2530, 0.7813, 0.4622)
O (0.3862, 0.5850, 0.2780)
O (0.3862, 0.8012, 0.7220)
O (0.3908, 0.0871, 0.2771)
O (0.3908, 0.3037, 0.7229)
O (0.4116, 0.1117, 0.3886)
O (0.4116, 0.2999, 0.6114)
O (0.4150, 0.6138, 0.3886)
O (0.4150, 0.8012, 0.6114)
O (0.5283, 0.7470, 0.1289)
O (0.5283, 0.7813, 0.8711)
O (0.5587, 0.1318, 0.7955)
O (0.5587, 0.4269, 0.2045)
O (0.5731, 0.1318, 0.5378)
O (0.5731, 0.4413, 0.4622)
O (0.6963, 0.0871, 0.0563)
O (0.6963, 0.6092, 0.9437)
O (0.7001, 0.1117, 0.9448)
O (0.7001, 0.5884, 0.0552)
O (0.8682, 0.4269, 0.1289)
O (0.8682, 0.4413, 0.8711)
O (0.8860, 0.0868, 0.1982)
O (0.8860, 0.7992, 0.8018)
O (0.8883, 0.2999, 0.7219)
O (0.8883, 0.5884, 0.2781)
O (0.9132, 0.1140, 0.4685)
O (0.9129, 0.3037, 0.6104)
O (0.9129, 0.6092, 0.3896)
O (0.9132, 0.7992, 0.5315)

Largest 8 diffraction maxima, low angle first, 2θ = 10–90°:
2theta, Rel. int.
24.19, 308
26.07, 1000
28.12, 408
34.30, 543
36.90, 548
41.36, 314
54.25, 382
60.44, 354

***

Simulated XRD peak list of KMg3Si4O12 for CuKα, from the GGA-PBE geometry in Alexandria.

Atomic structure:
a = 5.2964 Å, b = 5.2964 Å, c = 20.5525 Å
α = 92.46°, β = 92.46°, γ = 119.62°
Fractional coordinates of all 40 atoms:
K (0.0785, 0.9215, 0.7500)
K (0.9215, 0.0785, 0.2500)
Mg (0.0000, 0.5000, 0.5000)
Mg (0.1647, 0.3297, 0.0000)
Mg (0.3297, 0.1647, 0.5000)
Mg (0.5000, 0.0000, 0.0000)
Mg (0.6703, 0.8353, 0.5000)
Mg (0.8353, 0.6703, 0.0000)
Si (0.2212, 0.7103, 0.1351)
Si (0.2897, 0.7788, 0.3649)
Si (0.3799, 0.5569, 0.6351)
Si (0.4431, 0.6201, 0.8649)
Si (0.5569, 0.3799, 0.1351)
Si (0.6201, 0.4431, 0.3649)
Si (0.7103, 0.2212, 0.6351)
Si (0.7788, 0.2897, 0.8649)
O (0.0161, 0.8586, 0.5473)
O (0.0551, 0.4022, 0.6655)
O (0.1002, 0.4425, 0.8330)
O (0.1414, 0.9839, 0.9527)
O (0.1938, 0.6791, 0.0567)
O (0.3209, 0.8062, 0.4433)
O (0.3591, 0.5341, 0.5567)
O (0.3984, 0.5543, 0.1672)
O (0.4022, 0.0551, 0.1655)
O (0.4425, 0.1002, 0.3330)
O (0.4457, 0.6016, 0.3328)
O (0.4659, 0.6409, 0.9433)
O (0.5341, 0.3591, 0.0567)
O (0.5543, 0.3984, 0.6672)
O (0.5575, 0.8998, 0.6670)
O (0.5978, 0.9449, 0.8345)
O (0.6016, 0.4457, 0.8328)
O (0.6409, 0.4659, 0.4433)
O (0.6791, 0.1938, 0.5567)
O (0.8062, 0.3209, 0.9433)
O (0.8586, 0.0161, 0.0473)
O (0.8998, 0.5575, 0.1670)
O (0.9449, 0.5978, 0.3345)
O (0.9839, 0.1414, 0.4527)

Largest 8 diffraction maxima, low angle first, 2θ = 10–90°:
2theta, Rel. int.
25.08, 782
26.11, 1000
27.02, 808
29.26, 551
34.36, 800
36.96, 773
54.29, 611
60.30, 475

***

Simulated XRD peak list of KSmMgO3 for CuKα, from the GGA-PBE geometry in Alexandria.

Atomic structure:
a = 7.4046 Å, b = 3.6264 Å, c = 9.3604 Å
α = 90.00°, β = 108.22°, γ = 90.00°
Fractional coordinates of all 12 atoms:
K (0.1809, 0.2500, 0.1565)
K (0.8191, 0.7500, 0.8435)
Sm (0.3346, 0.7500, 0.8545)
Sm (0.6654, 0.2500, 0.1455)
Mg (0.0533, 0.2500, 0.6137)
Mg (0.9467, 0.7500, 0.3863)
O (0.1129, 0.2500, 0.8357)
O (0.1500, 0.7500, 0.5869)
O (0.4513, 0.7500, 0.1156)
O (0.5487, 0.2500, 0.8844)
O (0.8500, 0.2500, 0.4131)
O (0.8871, 0.7500, 0.1643)

Largest 8 diffraction maxima, low angle first, 2θ = 10–90°:
2theta, Rel. int.
13.39, 1000
26.55, 219
26.95, 330
30.14, 327
31.85, 272
34.69, 380
35.56, 256
48.07, 179

***

Number 5 is which compound? KMg6SiO8

***

Copy entry 4 word for word.
Simulated XRD peak list of KRbMg14O15 for CuKα, from the GGA-PBE geometry in Alexandria.

Atomic structure:
a = 4.1803 Å, b = 8.5682 Å, c = 10.3515 Å
α = 90.00°, β = 90.00°, γ = 90.00°
Fractional coordinates of all 31 atoms:
K (0.0000, 0.0000, 0.0000)
Rb (0.0000, 0.5000, 0.5337)
Mg (0.0000, 0.0000, 0.5646)
Mg (0.0000, 0.2425, 0.2780)
Mg (0.0000, 0.2769, 0.8607)
Mg (0.0000, 0.5000, 0.0790)
Mg (0.0000, 0.7231, 0.8607)
Mg (0.0000, 0.7575, 0.2780)
Mg (0.5000, 0.0000, 0.3155)
Mg (0.5000, 0.0000, 0.7890)
Mg (0.5000, 0.2347, 0.0867)
Mg (0.5000, 0.2607, 0.6578)
Mg (0.5000, 0.5000, 0.2700)
Mg (0.5000, 0.5000, 0.8702)
Mg (0.5000, 0.7393, 0.6578)
Mg (0.5000, 0.7653, 0.0867)
O (0.0000, 0.0000, 0.3632)
O (0.0000, 0.2054, 0.6741)
O (0.0000, 0.2631, 0.0757)
O (0.0000, 0.5000, 0.2797)
O (0.0000, 0.5000, 0.8792)
O (0.0000, 0.7369, 0.0757)
O (0.0000, 0.7946, 0.6741)
O (0.5000, 0.0000, 0.1212)
O (0.5000, 0.0000, 0.6006)
O (0.5000, 0.2142, 0.8655)
O (0.5000, 0.2576, 0.2993)
O (0.5000, 0.5000, 0.0707)
O (0.5000, 0.5000, 0.6760)
O (0.5000, 0.7424, 0.2993)
O (0.5000, 0.7858, 0.8655)

Largest 8 diffraction maxima, low angle first, 2θ = 10–90°:
2theta, Rel. int.
27.02, 294
27.43, 317
34.64, 1000
35.32, 268
39.18, 204
42.18, 838
43.29, 831
62.04, 467